[1]
For Mg2Mn3O6, a structure optimized by DFT (GGA+U) gives the simulated PXRD pattern in this record (CuKα).
Neutral-atom scattering factors, no anomalous dispersion.

Structural model:
Unit cell a=15.7186 b=2.9467 c=5.4662 alpha=90.00 beta=101.50 gamma=90.00
Space group C2/m (No. 12)
Asymmetric unit:
Mg  0.1759  0.0000  0.0877 (multiplicity 4)
Mn  0.0000  0.0000  0.0000 (multiplicity 2)
Mn  0.1465  0.5000  0.5863 (multiplicity 4)
O  0.0921  0.5000  0.9128 (multiplicity 4)
O  0.1005  0.0000  0.3647 (multiplicity 4)
O  0.2303  0.0000  0.7606 (multiplicity 4)

Most intense lines, 10° ≤ 2θ ≤ 90°, by angle:
2θ/deg	d/Å	I (rel.)	hkl
22.02	4.036	57	2 0 1
23.10	3.851	35	4 0 0
25.66	3.472	100	4 0 -1
33.15	2.702	43	2 0 -2
34.67	2.587	94	1 1 -1
36.86	2.438	45	4 0 -2
40.59	2.222	58	3 1 1
48.11	1.891	73	5 1 1
51.95	1.760	45	7 1 -1
59.84	1.546	48	1 1 -3

***

[2]
For Mg3MnO4, a structure optimized by DFT (GGA+U) gives the simulated PXRD pattern in this record (CuKα).
Neutral-atom scattering factors, no anomalous dispersion.

Structural model:
Unit cell a=4.3272 b=4.3272 c=8.6607 alpha=90.00 beta=90.00 gamma=90.00
Space group I4/mmm (No. 139)
Asymmetric unit:
Mg  0.0000  0.0000  0.0000 (multiplicity 2)
Mg  0.0000  0.5000  0.2500 (multiplicity 4)
Mn  0.0000  0.0000  0.5000 (multiplicity 2)
O  0.0000  0.0000  0.2411 (multiplicity 4)
O  0.0000  0.5000  0.0000 (multiplicity 4)

Most intense lines, 10° ≤ 2θ ≤ 90°, by angle:
2θ/deg	d/Å	I (rel.)	hkl
20.51	4.330	5	0 0 2
22.98	3.871	14	1 0 1
29.19	3.060	4	1 1 0
35.94	2.499	24	1 1 2
37.45	2.402	6	1 0 3
41.74	2.164	100	2 0 0
57.31	1.608	3	2 1 3
60.50	1.530	57	2 2 0
72.42	1.305	12	1 1 6
76.20	1.249	17	2 2 4

***

[3]
For Mg2Mn3O8, a structure optimized by DFT (GGA+U) gives the simulated PXRD pattern in this record (CuKα).
Neutral-atom scattering factors, no anomalous dispersion.

Structural model:
Unit cell a=5.8491 b=5.8491 c=9.3913 alpha=90.00 beta=90.00 gamma=120.00
Space group P6_3mc (No. 186)
Asymmetric unit:
Mg  0.3333  0.6667  0.0000 (multiplicity 2)
Mg  0.3333  0.6667  0.3936 (multiplicity 2)
Mn  0.1645  0.3290  0.7203 (multiplicity 6)
O  0.0000  0.0000  0.3258 (multiplicity 2)
O  0.0373  0.5186  0.8390 (multiplicity 6)
O  0.1600  0.3201  0.1192 (multiplicity 6)
O  0.3333  0.6667  0.6112 (multiplicity 2)

Most intense lines, 10° ≤ 2θ ≤ 90°, by angle:
2θ/deg	d/Å	I (rel.)	hkl
18.90	4.696	100	0 0 2
19.91	4.458	34	1 0 1
25.87	3.444	33	1 0 2
33.66	2.663	30	1 0 3
36.18	2.482	39	1 1 2
36.75	2.445	59	2 0 1
40.47	2.229	37	2 0 2
46.10	1.969	45	2 0 3
61.46	1.509	43	2 0 5
63.63	1.462	38	2 2 0

***

[4]
For Mg2Mn2O5, a structure optimized by DFT (GGA+U) gives the simulated PXRD pattern in this record (CuKα).
Neutral-atom scattering factors, no anomalous dispersion.

Structural model:
Unit cell a=14.2602 b=5.2069 c=5.3082 alpha=90.00 beta=90.00 gamma=90.00
Space group Ima2 (No. 46)
Asymmetric unit:
Mg  0.1215  0.0028  0.0000 (multiplicity 8)
Mn  0.0000  0.0000  0.4407 (multiplicity 4)
Mn  0.2500  0.5197  0.0183 (multiplicity 4)
O  0.0458  0.7332  0.1960 (multiplicity 8)
O  0.1259  0.1328  0.3820 (multiplicity 8)
O  0.2500  0.5975  0.4046 (multiplicity 4)

Most intense lines, 10° ≤ 2θ ≤ 90°, by angle:
2θ/deg	d/Å	I (rel.)	hkl
23.94	3.717	34	0 1 1
33.77	2.654	31	0 0 2
34.45	2.603	26	0 2 0
34.87	2.573	100	4 1 1
49.01	1.859	32	0 2 2
51.25	1.783	16	8 0 0
61.12	1.516	20	4 1 3
61.98	1.497	30	4 3 1
62.80	1.480	16	8 0 2
63.22	1.471	15	8 2 0

***

[5]
For Mg3MnO4, a structure optimized by DFT (GGA+U) gives the simulated PXRD pattern in this record (CuKα).
Neutral-atom scattering factors, no anomalous dispersion.

Structural model:
Unit cell a=4.3371 b=4.3371 c=4.3371 alpha=90.00 beta=90.00 gamma=90.00
Space group Pm-3m (No. 221)
Asymmetric unit:
Mg  0.0000  0.0000  0.5000 (multiplicity 3)
Mn  0.5000  0.5000  0.5000 (multiplicity 1)
O  0.0000  0.0000  0.0000 (multiplicity 1)
O  0.0000  0.5000  0.5000 (multiplicity 3)

Most intense lines, 10° ≤ 2θ ≤ 90°, by angle:
2θ/deg	d/Å	I (rel.)	hkl
20.48	4.337	16	1 0 0
29.12	3.067	13	1 1 0
35.86	2.504	24	1 1 1
41.65	2.169	100	2 0 0
46.84	1.940	6	2 1 0
51.62	1.771	5	2 1 1
60.36	1.533	57	2 2 0
64.45	1.446	3	3 0 0
72.25	1.308	12	3 1 1
76.01	1.252	17	2 2 2

***

[6]
For MgMn4O9, a structure optimized by DFT (GGA+U) gives the simulated PXRD pattern in this record (CuKα).
Neutral-atom scattering factors, no anomalous dispersion.

Structural model:
Unit cell a=8.4900 b=8.4900 c=4.7876 alpha=90.00 beta=90.00 gamma=90.00
Space group P4/n (No. 85, origin choice 2)
Asymmetric unit:
Mg  0.2500  0.2500  0.0942 (multiplicity 2)
Mn  0.0321  0.8398  0.3877 (multiplicity 8)
O  0.0284  0.1853  0.9554 (multiplicity 8)
O  0.0426  0.3565  0.4638 (multiplicity 8)
O  0.2500  0.7500  0.5000 (multiplicity 2)

Most intense lines, 10° ≤ 2θ ≤ 90°, by angle:
2θ/deg	d/Å	I (rel.)	hkl
18.53	4.788	84	0 0 1
23.77	3.743	27	1 1 1
30.04	2.975	100	1 2 1
33.37	2.685	66	3 1 0
44.76	2.025	37	1 2 2
47.92	1.898	41	2 4 0
51.81	1.765	33	2 4 1
57.60	1.600	21	4 3 1
63.20	1.471	20	1 2 3
67.65	1.385	21	5 0 2

***

[7]
For MgMnO3, a structure optimized by DFT (GGA+U) gives the simulated PXRD pattern in this record (CuKα).
Neutral-atom scattering factors, no anomalous dispersion.

Structural model:
Unit cell a=5.2276 b=7.3044 c=5.0081 alpha=90.00 beta=90.00 gamma=90.00
Space group Pnma (No. 62)
Asymmetric unit:
Mg  0.0649  0.2500  0.0175 (multiplicity 4)
Mn  0.0000  0.0000  0.5000 (multiplicity 4)
O  0.0568  0.7500  0.3732 (multiplicity 4)
O  0.1930  0.5664  0.8129 (multiplicity 8)

Most intense lines, 10° ≤ 2θ ≤ 90°, by angle:
2θ/deg	d/Å	I (rel.)	hkl
24.37	3.652	20	0 2 0
24.62	3.616	46	1 0 1
34.31	2.614	23	2 0 0
34.92	2.570	100	1 2 1
35.86	2.504	18	0 0 2
49.94	1.826	17	0 4 0
50.47	1.808	30	2 0 2
61.83	1.500	17	3 2 1
61.99	1.497	14	2 4 0
63.84	1.458	31	1 2 3

***

[8]
For Mg3Mn4O7, a structure optimized by DFT (GGA+U) gives the simulated PXRD pattern in this record (CuKα).
Neutral-atom scattering factors, no anomalous dispersion.

Structural model:
Unit cell a=3.1200 b=4.4120 c=21.8908 alpha=90.00 beta=90.00 gamma=90.00
Space group Immm (No. 71)
Asymmetric unit:
Mg  0.0000  0.0000  0.0000 (multiplicity 2)
Mg  0.0000  0.0000  0.1411 (multiplicity 4)
Mn  0.0000  0.0000  0.2858 (multiplicity 4)
Mn  0.0000  0.0000  0.4289 (multiplicity 4)
O  0.0000  0.5000  0.0000 (multiplicity 2)
O  0.0000  0.5000  0.1428 (multiplicity 4)
O  0.0000  0.5000  0.2910 (multiplicity 4)
O  0.0000  0.5000  0.4298 (multiplicity 4)

Most intense lines, 10° ≤ 2θ ≤ 90°, by angle:
2θ/deg	d/Å	I (rel.)	hkl
20.54	4.325	11	0 1 1
35.20	2.549	42	0 1 7
40.87	2.208	100	0 2 0
59.08	1.564	9	0 0 14
59.20	1.561	48	2 0 0
70.69	1.333	6	1 1 14
70.80	1.331	12	2 1 7
74.36	1.276	9	0 2 14
74.49	1.274	9	2 2 0
88.54	1.104	5	2 0 14